Structure and theoretical PXRD pattern of LiFe8O14F2 (a structure optimized by DFT (PBE+U); copper Kα).

Structural model:
Cell lengths 5.574, 7.316, 7.324 Å; angles 80.99, 70.87, 70.76 degrees
Fractional positions:
1 Li 0.000 0.000 0.000
2 Fe 0.296 0.573 0.092
3 Fe 0.321 0.585 0.591
4 Fe 0.332 0.082 0.589
5 Fe 0.339 0.104 0.097
6 Fe 0.798 0.334 0.323
7 Fe 0.815 0.825 0.343
8 Fe 0.816 0.350 0.837
9 Fe 0.822 0.834 0.818
10 O 0.136 0.362 0.175
11 O 0.160 0.666 0.350
12 O 0.170 0.175 0.851
13 O 0.177 0.853 0.669
14 O 0.463 0.511 0.825
15 O 0.468 0.318 0.509
16 O 0.484 0.004 0.317
17 O 0.637 0.419 0.108
18 O 0.660 0.595 0.418
19 O 0.677 0.906 0.601
20 O 0.689 0.098 0.912
21 O 0.959 0.754 0.072
22 O 0.972 0.069 0.249
23 O 0.976 0.566 0.752
24 F 0.452 0.826 0.004
25 F 0.969 0.255 0.562

Most intense lines, 2θ = 10–90°, sorted by position:
| index | 2theta | d/Å | I/Imax |
| --- | --- | --- | --- |
| 1 0 2 | 26.63 | 3.347 | 100 |
| 2 0 0 | 35.68 | 2.516 | 37 |
| 0 2 2 | 35.77 | 2.510 | 12 |
| 0 1 3 | 40.61 | 2.222 | 10 |
| 2 2 -2 | 52.99 | 1.728 | 14 |
| 3 2 0 | 53.12 | 1.724 | 21 |
| 3 0 2 | 53.26 | 1.720 | 22 |
| 2 0 4 | 54.86 | 1.674 | 16 |
| -2 2 2 | 62.58 | 1.484 | 7 |
| 3 -2 0 | 69.22 | 1.357 | 8 |